Pr3Mg2: simulated powder diffractogram (Cu Ka), based on a GGA-PBE-relaxed structure.
Kinematic intensities with the Lorentz-polarization factor, no thermal factor.

Atomic structure:
```
Pr3Mg2
1.0
3.866 0.000 0.000
0.000 3.866 0.000
0.000 0.000 20.991
Pr Mg
6 4
Direct
0.000 0.000 0.000
0.000 0.000 0.188
0.000 0.000 0.379
0.000 0.000 0.621
0.000 0.000 0.812
0.500 0.500 0.500
0.500 0.500 0.095
0.500 0.500 0.284
0.500 0.500 0.716
0.500 0.500 0.905
```

Main lines, most intense first (2θ = 15–90°):
- 31.46 deg, intensity 100
- 32.76 deg, intensity 54
- 57.67 deg, intensity 35
- 23.01 deg, intensity 31
- 47.02 deg, intensity 20
- 21.16 deg, intensity 14



Sc6FeNi5: simulated powder diffractogram (Cu Ka), based on a GGA-PBE-relaxed structure.
Kinematic intensities with the Lorentz-polarization factor, no thermal factor.

Atomic structure:
```
Sc6FeNi5
1.0
4.491 0.000 0.000
0.000 6.259 0.000
-2.214 0.000 6.724
Sc Fe Ni
6 1 5
Direct
0.000 0.246 0.000
0.000 0.754 0.000
0.336 0.248 0.671
0.336 0.752 0.671
0.664 0.248 0.329
0.664 0.752 0.329
0.500 0.000 0.000
0.165 0.000 0.332
0.168 0.500 0.337
0.500 0.500 0.000
0.832 0.500 0.663
0.835 0.000 0.668
```

Main lines, most intense first (2θ = 15–90°):
- 40.49 deg, intensity 100
- 40.20 deg, intensity 51
- 73.84 deg, intensity 15
- 58.00 deg, intensity 8
- 58.30 deg, intensity 8
- 73.09 deg, intensity 8



YbOs2: simulated powder diffractogram (Cu Ka), based on a GGA-PBE-relaxed structure.
Kinematic intensities with the Lorentz-polarization factor, no thermal factor.

Atomic structure:
```
YbOs2
1.0
5.288 0.000 0.000
-2.644 4.579 0.000
0.000 0.000 8.716
Yb Os
4 8
Direct
0.333 0.667 0.067
0.333 0.667 0.433
0.667 0.333 0.567
0.667 0.333 0.933
0.000 0.000 0.000
0.000 0.000 0.500
0.173 0.345 0.750
0.173 0.827 0.750
0.345 0.173 0.250
0.655 0.827 0.750
0.827 0.173 0.250
0.827 0.655 0.250
```

Main lines, most intense first (2θ = 15–90°):
- 39.88 deg, intensity 100
- 40.74 deg, intensity 95
- 36.63 deg, intensity 73
- 67.54 deg, intensity 33
- 71.35 deg, intensity 30
- 62.46 deg, intensity 26



Na4InHg5: simulated powder diffractogram (Cu Ka), based on a GGA-PBE-relaxed structure.
Kinematic intensities with the Lorentz-polarization factor, no thermal factor.

Atomic structure:
```
Na4InHg5
1.0
3.771 0.000 0.000
0.000 3.771 0.000
0.000 0.000 18.207
Na In Hg
4 1 5
Direct
0.000 0.000 0.101
0.000 0.000 0.304
0.000 0.000 0.696
0.000 0.000 0.899
0.000 0.000 0.500
0.500 0.500 0.000
0.500 0.500 0.199
0.500 0.500 0.399
0.500 0.500 0.601
0.500 0.500 0.801
```

Main lines, most intense first (2θ = 15–90°):
- 34.23 deg, intensity 100
- 33.61 deg, intensity 53
- 23.60 deg, intensity 52
- 60.51 deg, intensity 39
- 42.00 deg, intensity 24
- 24.44 deg, intensity 24



Pm3Pr8Sm3: simulated powder diffractogram (Cu Ka), based on a GGA-PBE-relaxed structure.
Kinematic intensities with the Lorentz-polarization factor, no thermal factor.

Atomic structure:
```
Pm3Pr8Sm3
1.0
-2.898 5.519 7.788
2.898 -5.519 7.788
2.898 5.519 -7.788
Pm Pr Sm
3 8 3
Direct
0.000 0.000 0.000
0.304 0.000 0.304
0.696 0.000 0.696
0.059 0.396 0.663
0.065 0.224 0.842
0.267 0.604 0.663
0.382 0.224 0.158
0.618 0.776 0.842
0.733 0.396 0.337
0.935 0.776 0.158
0.941 0.604 0.337
0.319 0.819 0.500
0.500 0.500 0.000
0.681 0.181 0.500
```

Main lines, most intense first (2θ = 15–90°):
- 30.99 deg, intensity 100
- 30.85 deg, intensity 52
- 32.63 deg, intensity 50
- 28.78 deg, intensity 36
- 29.77 deg, intensity 33
- 43.40 deg, intensity 24



RbMgAg2: simulated powder diffractogram (Cu Ka), based on a GGA-PBE-relaxed structure.
Kinematic intensities with the Lorentz-polarization factor, no thermal factor.

Atomic structure:
```
RbMgAg2
1.0
3.615 0.000 0.000
0.000 3.615 0.000
0.000 0.000 8.224
Rb Mg Ag
1 1 2
Direct
0.000 0.000 0.000
0.000 0.000 0.500
0.500 0.500 0.327
0.500 0.500 0.673
```

Main lines, most intense first (2θ = 15–90°):
- 32.99 deg, intensity 100
- 35.11 deg, intensity 83
- 26.94 deg, intensity 81
- 48.71 deg, intensity 45
- 32.67 deg, intensity 36
- 61.65 deg, intensity 31



TcAsRu2: simulated powder diffractogram (Cu Ka), based on a GGA-PBE-relaxed structure.
Kinematic intensities with the Lorentz-polarization factor, no thermal factor.

Atomic structure:
```
TcAsRu2
1.0
2.925 0.000 0.000
0.000 4.415 0.000
0.000 0.000 4.467
Tc As Ru
1 1 2
Direct
0.000 0.000 0.000
0.500 0.000 0.500
0.000 0.500 0.500
0.500 0.500 0.000
```

Main lines, most intense first (2θ = 15–90°):
- 42.22 deg, intensity 100
- 40.38 deg, intensity 28
- 40.88 deg, intensity 27
- 58.81 deg, intensity 18
- 74.69 deg, intensity 18
- 75.36 deg, intensity 17



Ac2PbO6: simulated powder diffractogram (Cu Ka), based on a GGA-PBE-relaxed structure.
Kinematic intensities with the Lorentz-polarization factor, no thermal factor.

Atomic structure:
```
Ac2PbO6
1.0
-2.258 2.827 5.672
2.258 -2.827 5.672
2.258 2.827 -5.672
Ac Pb O
2 1 6
Direct
0.171 0.171 0.000
0.829 0.829 0.000
0.500 0.500 0.000
0.099 0.349 0.751
0.362 0.000 0.362
0.402 0.651 0.751
0.598 0.349 0.249
0.638 0.000 0.638
0.901 0.651 0.249
```

Main lines, most intense first (2θ = 15–90°):
- 25.24 deg, intensity 100
- 28.39 deg, intensity 86
- 44.77 deg, intensity 58
- 30.84 deg, intensity 46
- 49.71 deg, intensity 38
- 55.11 deg, intensity 25



Sr2TcN: simulated powder diffractogram (Cu Ka), based on a GGA-PBE-relaxed structure.
Kinematic intensities with the Lorentz-polarization factor, no thermal factor.

Atomic structure:
```
Sr2TcN
1.0
-5.296 5.296 1.940
5.296 -5.296 1.940
5.296 5.296 -1.940
Sr Tc N
4 2 2
Direct
0.375 0.182 0.307
0.818 0.125 0.193
0.875 0.068 0.693
0.932 0.625 0.807
0.250 0.750 0.500
0.500 0.500 0.000
0.000 0.000 0.000
0.750 0.250 0.500
```

Main lines, most intense first (2θ = 15–90°):
- 29.76 deg, intensity 100
- 16.74 deg, intensity 39
- 33.85 deg, intensity 34
- 26.61 deg, intensity 32
- 37.99 deg, intensity 30
- 38.43 deg, intensity 30



Sm2Ho2Er: simulated powder diffractogram (Cu Ka), based on a GGA-PBE-relaxed structure.
Kinematic intensities with the Lorentz-polarization factor, no thermal factor.

Atomic structure:
```
Sm2Ho2Er
1.0
7.864 -3.144 0.000
7.864 3.144 0.000
-1.588 0.000 6.552
Sm Ho Er
4 4 2
Direct
0.114 0.285 0.152
0.285 0.114 0.652
0.715 0.886 0.348
0.886 0.715 0.848
0.319 0.485 0.548
0.485 0.319 0.048
0.515 0.681 0.952
0.681 0.515 0.452
0.083 0.917 0.250
0.917 0.083 0.750
```

Main lines, most intense first (2θ = 15–90°):
- 32.56 deg, intensity 100
- 31.51 deg, intensity 24
- 28.39 deg, intensity 24
- 60.55 deg, intensity 23
- 56.77 deg, intensity 21
- 50.28 deg, intensity 20



NaGe2IrRh: simulated powder diffractogram (Cu Ka), based on a GGA-PBE-relaxed structure.
Kinematic intensities with the Lorentz-polarization factor, no thermal factor.

Atomic structure:
```
NaGe2IrRh
1.0
-2.084 2.084 5.217
2.084 -2.084 5.217
2.084 2.084 -5.217
Na Ge Ir Rh
1 2 1 1
Direct
0.000 0.000 0.000
0.375 0.375 0.000
0.625 0.625 0.000
0.250 0.750 0.500
0.750 0.250 0.500
```

Main lines, most intense first (2θ = 15–90°):
- 16.99 deg, intensity 100
- 34.97 deg, intensity 94
- 46.49 deg, intensity 74
- 43.43 deg, intensity 56
- 22.98 deg, intensity 36
- 46.96 deg, intensity 30



Tb5Te9: simulated powder diffractogram (Cu Ka), based on a GGA-PBE-relaxed structure.
Kinematic intensities with the Lorentz-polarization factor, no thermal factor.

Atomic structure:
```
Tb5Te9
1.0
9.670 0.000 0.000
0.000 9.670 0.000
0.000 0.000 18.041
Tb Te
20 36
Direct
0.000 0.500 0.105
0.000 0.500 0.628
0.090 0.796 0.385
0.097 0.802 0.882
0.198 0.097 0.118
0.204 0.090 0.615
0.301 0.405 0.884
0.302 0.398 0.388
0.398 0.698 0.612
0.405 0.699 0.116
0.500 0.000 0.372
0.500 0.000 0.895
0.595 0.301 0.116
0.602 0.302 0.612
0.698 0.602 0.388
0.699 0.595 0.884
0.796 0.910 0.615
0.802 0.903 0.118
0.903 0.198 0.882
0.910 0.204 0.385
0.000 0.000 0.247
0.000 0.000 0.753
0.000 0.500 0.448
0.000 0.500 0.931
0.086 0.376 0.260
0.097 0.799 0.565
0.100 0.798 0.063
0.136 0.280 0.751
0.201 0.097 0.435
0.202 0.100 0.937
0.209 0.616 0.751
0.280 0.864 0.249
0.298 0.402 0.064
0.301 0.395 0.567
0.376 0.914 0.740
0.384 0.209 0.249
0.395 0.699 0.433
0.402 0.702 0.936
0.500 0.000 0.069
0.500 0.000 0.552
0.500 0.500 0.249
0.500 0.500 0.751
0.598 0.298 0.936
0.605 0.301 0.433
0.616 0.791 0.249
0.624 0.086 0.740
0.699 0.605 0.567
0.702 0.598 0.064
0.720 0.136 0.249
0.791 0.384 0.751
0.798 0.900 0.937
0.799 0.903 0.435
0.864 0.720 0.751
0.900 0.202 0.063
0.903 0.201 0.565
0.914 0.624 0.260
```

Main lines, most intense first (2θ = 15–90°):
- 35.47 deg, intensity 100
- 30.88 deg, intensity 90
- 36.39 deg, intensity 87
- 41.77 deg, intensity 69
- 29.20 deg, intensity 60
- 56.58 deg, intensity 46



What did the third record say?
YbOs2: simulated powder diffractogram (Cu Ka), based on a GGA-PBE-relaxed structure.
Kinematic intensities with the Lorentz-polarization factor, no thermal factor.

Atomic structure:
```
YbOs2
1.0
5.288 0.000 0.000
-2.644 4.579 0.000
0.000 0.000 8.716
Yb Os
4 8
Direct
0.333 0.667 0.067
0.333 0.667 0.433
0.667 0.333 0.567
0.667 0.333 0.933
0.000 0.000 0.000
0.000 0.000 0.500
0.173 0.345 0.750
0.173 0.827 0.750
0.345 0.173 0.250
0.655 0.827 0.750
0.827 0.173 0.250
0.827 0.655 0.250
```

Main lines, most intense first (2θ = 15–90°):
- 39.88 deg, intensity 100
- 40.74 deg, intensity 95
- 36.63 deg, intensity 73
- 67.54 deg, intensity 33
- 71.35 deg, intensity 30
- 62.46 deg, intensity 26